Entry 1:
This entry pairs a crystal structure of TlHg3 with its simulated XRD peak list. Radiation: copper Kα. Structure: DFT lattice parameters and positions (GGA-PBE).
Neutral-atom scattering factors, no anomalous dispersion.

Peak list (10 most intense, 10 to 90 degrees two-theta, sorted by position)
2theta	intensity
31.90	100
32.21	97
36.31	71
38.89	30
51.87	13
54.25	46
62.38	30
62.94	29
66.07	13
66.25	13

Structure:
a b c (Å): 3.526 4.632 6.947
angles (deg): 90.00 90.00 90.00
Positions (direct):
Tl: 0.000 0.000 0.000
Hg: 0.000 0.000 0.500
Hg: 0.500 0.500 0.259
Hg: 0.500 0.500 0.741



Entry 2:
This entry pairs a crystal structure of La2Pm6Si with its simulated XRD peak list. Radiation: copper Kα. Structure: DFT lattice parameters and positions (GGA-PBE).
Neutral-atom scattering factors, no anomalous dispersion.

Peak list (10 most intense, 10 to 90 degrees two-theta, sorted by position)
2theta	intensity
27.31	32
28.28	40
30.12	46
33.16	100
39.72	19
50.06	33
54.10	17
57.96	24
61.38	17
83.05	15

Structure:
a b c (Å): 3.644 3.644 26.127
angles (deg): 90.00 90.00 120.00
Positions (direct):
La: 0.000 0.000 0.180
La: 0.000 0.000 0.820
Pm: 0.000 0.000 0.416
Pm: 0.000 0.000 0.584
Pm: 0.667 0.333 0.066
Pm: 0.667 0.333 0.299
Pm: 0.667 0.333 0.701
Pm: 0.667 0.333 0.934
Si: 0.667 0.333 0.500



Entry 3:
This entry pairs a crystal structure of Hg5Sb with its simulated XRD peak list. Radiation: copper Kα. Structure: DFT lattice parameters and positions (GGA-PBE).
Neutral-atom scattering factors, no anomalous dispersion.

Peak list (10 most intense, 10 to 90 degrees two-theta, sorted by position)
2theta	intensity
31.04	91
31.65	100
31.96	80
32.66	87
38.51	57
39.29	63
44.75	34
46.58	29
63.27	43
64.20	27

Structure:
a b c (Å): 6.014 6.014 9.870
angles (deg): 121.99 121.99 33.03
Positions (direct):
Hg: 0.000 0.000 0.000
Hg: 0.254 0.254 0.988
Hg: 0.563 0.563 0.654
Hg: 0.669 0.669 0.328
Hg: 0.927 0.927 0.321
Sb: 0.311 0.311 0.665



Entry 4:
This entry pairs a crystal structure of Ba4Hg3Pb with its simulated XRD peak list. Radiation: copper Kα. Structure: DFT lattice parameters and positions (GGA-PBE).
Neutral-atom scattering factors, no anomalous dispersion.

Peak list (10 most intense, 10 to 90 degrees two-theta, sorted by position)
2theta	intensity
29.80	100
42.54	6
42.71	13
52.83	14
52.94	27
61.86	9
70.03	6
70.29	12
85.62	7
85.81	14

Structure:
a b c (Å): 9.497 9.497 9.497
angles (deg): 143.25 143.25 52.96
Positions (direct):
Ba: 0.126 0.626 0.500
Ba: 0.374 0.874 0.500
Ba: 0.626 0.126 0.500
Ba: 0.874 0.374 0.500
Hg: 0.000 0.000 0.000
Hg: 0.250 0.250 0.000
Hg: 0.750 0.750 0.000
Pb: 0.500 0.500 0.000